[1]
# Li2CoAu
Theoretical powder diffractogram, Cu Kα X-rays. Input: a GGA-PBE-relaxed structure.
Lines closer than 0.1° are merged.

Peak list (6 most intense, 10 to 90 degrees two-theta, low angle first)
two_theta  I (rel.)  hkl
25.63  100.0  1 1 1
29.67  23.5  2 0 0
42.46  72.1  2 2 0
50.26  49.3  3 1 1
67.85  20.2  3 3 1
77.69  24.3  4 2 2

```
data_Li2CoAu
_cell_length_a 6.021
_cell_length_b 6.021
_cell_length_c 6.021
_cell_angle_alpha 90.00
_cell_angle_beta 90.00
_cell_angle_gamma 90.00
_space_group_name_H-M_alt 'F -4 3 m'
_space_group_IT_number 216
_space_group_name_Hall 'F -4 2 3'
loop_
_atom_site_label
_atom_site_type_symbol
_atom_site_fract_x
_atom_site_fract_y
_atom_site_fract_z
_atom_site_occupancy
Li1 Li 0.000 0.000 0.000 1
Li2 Li 0.250 0.250 0.250 1
Co1 Co 0.250 0.250 0.750 1
Au1 Au 0.000 0.000 0.500 1
```



[2]
# LiCoTeAuS2
Theoretical powder diffractogram, Cu Kα X-rays. Input: a GGA-PBE-relaxed structure.
Lines closer than 0.1° are merged.

Peak list (6 most intense, 10 to 90 degrees two-theta, low angle first)
two_theta  I (rel.)  hkl
12.48  97.4  0 2 0
17.91  76.0  0 0 2
29.00  98.1  1 1 1
32.91  87.5  1 3 0
34.17  100.0  1 3 1
36.28  73.7  0 0 4

```
data_LiCoTeAuS2
_cell_length_a 3.327
_cell_length_b 14.188
_cell_length_c 9.906
_cell_angle_alpha 90.00
_cell_angle_beta 90.00
_cell_angle_gamma 90.00
_space_group_name_H-M_alt 'C m c m'
_space_group_IT_number 63
_space_group_name_Hall '-C 2c 2'
loop_
_atom_site_label
_atom_site_type_symbol
_atom_site_fract_x
_atom_site_fract_y
_atom_site_fract_z
_atom_site_occupancy
Li1 Li 0.000 0.223 0.250 1
Co1 Co 0.000 0.500 0.000 1
Te1 Te 0.000 0.438 0.750 1
Au1 Au 0.000 0.133 0.750 1
S1 S 0.000 0.108 0.516 1
```